Starting from a structure optimized by DFT (GGA-PBE), the X-ray diffraction stick pattern of TiV14Re was calculated for Cu Ka.
Kinematic intensities with the Lorentz-polarization factor, no thermal factor.

Atomic structure:
a = 6.0642 Å, b = 8.5064 Å, c = 8.5320 Å
α = 90.00°, β = 90.00°, γ = 90.00°
Space group Cmmm (No. 65)
Inequivalent atoms, fractional coordinates:
Ti  0.0000  0.0000  0.0000 (multiplicity 2)
V  0.0000  0.0000  0.5000 (multiplicity 2)
V  0.0000  0.2462  0.2537 (multiplicity 8)
V  0.0000  0.5000  0.5000 (multiplicity 2)
V  0.2448  0.5000  0.2556 (multiplicity 8)
V  0.2500  0.2500  0.0000 (multiplicity 4)
V  0.2500  0.2500  0.5000 (multiplicity 4)
Re  0.0000  0.5000  0.0000 (multiplicity 2)

Top 6 peaks for 2θ from 10° to 90°, in order of rising 2θ:
2θ = 20.8°, intensity 13, (1 1 1)
2θ = 42.3°, intensity 100, (2 2 2)
2θ = 42.5°, intensity 20, (0 4 0)
2θ = 61.6°, intensity 12, (0 4 4)
2θ = 77.2°, intensity 12, (4 4 0)
2θ = 77.6°, intensity 12, (2 6 2)